Starting from DFT lattice parameters and positions (GGA+U), the XRD peak list of LiNi3OF5 was simulated for CuKα.
Neutral-atom scattering factors, no anomalous dispersion.

Principal peaks in the range 10° ≤ 2θ ≤ 90°, by angle:
- 18.54 deg, I 35, (1 0 0)
- 18.94 deg, I 92, (0 0 1)
- 20.65 deg, I 30, (0 1 0)
- 23.80 deg, I 100, (1 1 1)
- 23.95 deg, I 98, (1 1 0)
- 31.38 deg, I 27, (1 -1 0)
- 31.77 deg, I 41, (-1 1 1)
- 41.49 deg, I 95, (1 -1 1)
- 42.41 deg, I 85, (-1 1 2)
- 44.61 deg, I 87, (2 2 1)
- 55.49 deg, I 30, (2 0 -2)
- 62.48 deg, I 49, (-2 2 1)

Structure:
Cell: 5.0214 5.0477 5.3116 Å, 61.95 80.76 72.40°
Positions (direct):
Li 0.0000 0.0000 0.0000
Ni 0.4708 0.5398 0.9901
Ni 0.4779 0.2370 0.5887
Ni 0.9957 0.7177 0.5766
O 0.2471 0.6105 0.2988
F 0.2293 0.3218 0.9050
F 0.2375 0.9303 0.6723
F 0.7299 0.4323 0.6888
F 0.7352 0.8308 0.8784
F 0.7368 0.1250 0.2878